(1)
Starting from a cell relaxed with PBE, the powder XRD pattern of Mg6AlSnO8 was computed for λ = 1.5418 Å (Cu Kα).
Intensities are scaled so that the largest is 100.

Atomic structure:
```
Mg6AlSnO8
1.0
4.3710 0.0000 0.0000
0.0000 4.3710 0.0000
0.0000 0.0000 9.2574
Mg Al Sn O
6 1 1 8
Direct
0.0000 0.0000 0.0000
0.0000 0.0000 0.5000
0.0000 0.5000 0.2406
0.0000 0.5000 0.7594
0.5000 0.0000 0.2406
0.5000 0.0000 0.7594
0.5000 0.5000 0.0000
0.5000 0.5000 0.5000
0.0000 0.0000 0.2473
0.0000 0.0000 0.7527
0.0000 0.5000 0.0000
0.0000 0.5000 0.5000
0.5000 0.0000 0.0000
0.5000 0.0000 0.5000
0.5000 0.5000 0.1920
0.5000 0.5000 0.8080
```

Peak list (12 most intense, 10° ≤ 2θ ≤ 90°, by intensity)
Position (°2θ)	d (Å)	Rel. int.
41.31	2.185	100.0
58.05	1.589	55.1
34.91	2.570	48.6
38.91	2.314	45.9
28.08	3.178	30.2
22.49	3.953	30.2
20.32	4.371	27.5
59.85	1.545	26.7
28.91	3.088	25.1
73.72	1.285	23.9
35.61	2.521	21.9
19.17	4.629	19.2

(2)
Starting from a cell relaxed with PBE, the powder XRD pattern of Rb3RuF12 was computed for λ = 1.5418 Å (Cu Kα).
Intensities are scaled so that the largest is 100.

Atomic structure:
```
Rb3RuF12
1.0
3.5505 -7.5484 0.0000
3.5505 7.5484 0.0000
-0.6959 0.0000 6.2646
Rb Ru F
3 1 12
Direct
0.0000 0.0000 0.0000
0.0000 0.5000 0.5000
0.5000 0.0000 0.5000
0.5000 0.5000 0.5000
0.0746 0.2449 0.6360
0.1146 0.4031 0.8748
0.2449 0.0746 0.6360
0.3033 0.4812 0.3118
0.4031 0.1146 0.8748
0.4812 0.3033 0.3118
0.5188 0.6967 0.6882
0.5969 0.8854 0.1252
0.6967 0.5188 0.6882
0.7551 0.9254 0.3640
0.8854 0.5969 0.1252
0.9254 0.7551 0.3640
```

Peak list (12 most intense, 10° ≤ 2θ ≤ 90°, by intensity)
Position (°2θ)	d (Å)	Rel. int.
27.91	3.197	100.0
14.14	6.265	86.0
20.82	4.266	75.0
25.20	3.534	57.4
37.30	2.411	55.9
38.16	2.358	52.5
18.81	4.717	38.1
30.09	2.970	30.7
47.58	1.911	29.8
28.50	3.132	29.1
27.59	3.233	27.5
39.87	2.261	25.7

(3)
Starting from a cell relaxed with PBE, the powder XRD pattern of Nb11S12 was computed for λ = 1.5418 Å (Cu Kα).
Intensities are scaled so that the largest is 100.

Atomic structure:
```
Nb11S12
1.0
5.0429 -2.7284 0.0000
5.0429 2.7284 0.0000
-2.4446 0.0000 35.1820
Nb S
22 24
Direct
0.0595 0.9405 0.7500
0.0939 0.1863 0.1853
0.1480 0.2371 0.3146
0.1613 0.6602 0.4996
0.1863 0.0939 0.6853
0.2371 0.1480 0.8146
0.2756 0.3879 0.2505
0.3398 0.8387 0.0004
0.3879 0.2756 0.7505
0.4277 0.5165 0.1869
0.4835 0.5723 0.3131
0.5165 0.4277 0.6869
0.5723 0.4835 0.8131
0.6121 0.7244 0.2495
0.6602 0.1613 0.9996
0.7244 0.6121 0.7495
0.7629 0.8520 0.1854
0.8137 0.9061 0.3147
0.8387 0.3398 0.5004
0.8520 0.7629 0.6854
0.9061 0.8137 0.8147
0.9405 0.0595 0.2500
0.0061 0.8172 0.9565
0.0797 0.8454 0.1422
0.1546 0.9203 0.3578
0.1805 0.4107 0.6423
0.1828 0.9939 0.5435
0.2044 0.2751 0.4593
0.2609 0.4815 0.8588
0.2751 0.2044 0.9593
0.3318 0.5255 0.0432
0.4107 0.1805 0.1423
0.4745 0.6682 0.4568
0.4815 0.2609 0.3588
0.5185 0.7391 0.6412
0.5255 0.3318 0.5432
0.5893 0.8195 0.8577
0.6682 0.4745 0.9568
0.7249 0.7956 0.0407
0.7391 0.5185 0.1412
0.7956 0.7249 0.5407
0.8172 0.0061 0.4565
0.8195 0.5893 0.3577
0.8454 0.0797 0.6422
0.9203 0.1546 0.8578
0.9939 0.1828 0.0435
```

Peak list (12 most intense, 10° ≤ 2θ ≤ 90°, by intensity)
Position (°2θ)	d (Å)	Rel. int.
10.06	8.795	100.0
35.76	2.511	81.9
15.11	5.864	65.9
36.47	2.463	60.7
33.21	2.698	51.6
39.44	2.285	37.2
38.58	2.334	33.5
41.05	2.199	23.3
49.30	1.848	22.6
54.62	1.680	20.8
32.83	2.728	19.2
38.85	2.318	14.5

(4)
Starting from a cell relaxed with PBE, the powder XRD pattern of NpNi5 was computed for λ = 1.5418 Å (Cu Kα).
Intensities are scaled so that the largest is 100.

Atomic structure:
```
NpNi5
1.0
4.8291 0.0000 0.0000
-2.4146 4.1821 0.0000
0.0000 0.0000 3.9469
Np Ni
1 5
Direct
0.0000 0.0000 0.0000
0.0000 0.5000 0.5000
0.3333 0.6667 0.0000
0.5000 0.0000 0.5000
0.5000 0.5000 0.5000
0.6667 0.3333 0.0000
```

Peak list (12 most intense, 10° ≤ 2θ ≤ 90°, by intensity)
Position (°2θ)	d (Å)	Rel. int.
43.96	2.060	100.0
31.16	2.870	74.8
37.24	2.415	38.6
43.27	2.091	37.7
45.99	1.973	24.7
71.81	1.314	23.2
64.98	1.435	22.2
63.39	1.467	20.7
60.60	1.528	18.8
83.73	1.155	17.8
21.24	4.182	16.5
79.37	1.207	14.2

(5)
Starting from a cell relaxed with PBE, the powder XRD pattern of K2AsH13O10 was computed for λ = 1.5418 Å (Cu Kα).
Intensities are scaled so that the largest is 100.

Atomic structure:
```
K2AsH13O10
1.0
4.6740 -4.7647 0.0000
4.6740 4.7647 0.0000
-0.6158 0.0000 12.8510
K As H O
4 2 26 20
Direct
0.1312 0.8688 0.5000
0.3819 0.8596 0.2152
0.8596 0.3819 0.7152
0.8688 0.1312 0.0000
0.4174 0.7482 0.7555
0.7482 0.4174 0.2555
0.0660 0.9918 0.7770
0.0975 0.3457 0.4925
0.1470 0.4247 0.1675
0.1481 0.5597 0.8995
0.1692 0.4489 0.3398
0.2024 0.4857 0.0548
0.2912 0.8759 0.9651
0.3327 0.4722 0.6472
0.3457 0.0975 0.9925
0.3919 0.4685 0.3875
0.4247 0.1470 0.6675
0.4489 0.1692 0.8398
0.4685 0.3919 0.8875
0.4722 0.3327 0.1472
0.4857 0.2024 0.5548
0.5597 0.1481 0.3995
0.5927 0.9338 0.4505
0.6168 0.7109 0.9711
0.6935 0.7302 0.5832
0.7109 0.6168 0.4711
0.7302 0.6935 0.0832
0.8374 0.9119 0.7668
0.8759 0.2912 0.4651
0.9119 0.8374 0.2668
0.9338 0.5927 0.9505
0.9918 0.0660 0.2770
0.0213 0.9264 0.2962
0.0288 0.4888 0.9264
0.2533 0.5142 0.3967
0.2568 0.5956 0.6686
0.2611 0.4761 0.1257
0.2655 0.9845 0.0171
0.3225 0.9834 0.7453
0.3870 0.6616 0.8787
0.4761 0.2611 0.6257
0.4888 0.0288 0.4264
0.5142 0.2533 0.8967
0.5956 0.2568 0.1686
0.6555 0.7278 0.7139
0.6616 0.3870 0.3787
0.7278 0.6555 0.2139
0.7363 0.7454 0.5096
0.7454 0.7363 0.0096
0.9264 0.0213 0.7962
0.9834 0.3225 0.2453
0.9845 0.2655 0.5171
```

Peak list (12 most intense, 10° ≤ 2θ ≤ 90°, by intensity)
Position (°2θ)	d (Å)	Rel. int.
19.01	4.669	100.0
33.08	2.708	87.8
27.87	3.201	86.7
14.75	6.004	84.1
13.78	6.426	81.8
29.74	3.004	81.1
32.69	2.739	75.7
30.45	2.936	75.2
30.69	2.913	74.3
27.77	3.213	70.0
19.87	4.468	69.8
34.64	2.589	64.2